[1]
Structure and computed PXRD pattern of Pa4Si6Tc7 (a GGA-PBE-relaxed structure; a wavelength of 1.5418 Å).
Kinematic intensities with the Lorentz-polarization factor, no thermal factor.

Structure:
```
data_Pa4Si6Tc7
_chemical_formula_sum 'Pa8 Si12 Tc14'
_cell_length_a 8.313
_cell_length_b 8.313
_cell_length_c 8.313
_cell_angle_alpha 90.00
_cell_angle_beta 90.00
_cell_angle_gamma 90.00
_space_group_name_H-M_alt 'I m -3 m'
_space_group_IT_number 229
_space_group_name_Hall '-I 4 2 3'
loop_
_atom_site_label
_atom_site_fract_x
_atom_site_fract_y
_atom_site_fract_z
Pa1 0.250 0.250 0.250
Si1 0.000 0.000 0.315
Tc1 0.000 0.000 0.000
Tc2 0.000 0.250 0.500
```

Main lines, in order of rising 2θ (5 to 70 degrees two-theta):
- 21.38°, intensity 34, (2 0 0)
- 26.26°, intensity 16, (2 1 1)
- 30.41°, intensity 68, (2 2 0)
- 37.48°, intensity 100, (2 2 2)
- 40.61°, intensity 18, (3 2 1)
- 43.55°, intensity 63, (4 0 0)
- 49.01°, intensity 22, (4 2 0)
- 54.04°, intensity 25, (4 2 2)
- 63.28°, intensity 38, (4 4 0)
- 67.62°, intensity 12, (4 4 2)

[2]
Structure and computed PXRD pattern of Ac4Sm (a GGA-PBE-relaxed structure; a wavelength of 1.5418 Å).
Kinematic intensities with the Lorentz-polarization factor, no thermal factor.

Structure:
```
data_Ac4Sm
_chemical_formula_sum 'Ac8 Sm2'
_cell_length_a 5.961
_cell_length_b 18.688
_cell_length_c 3.842
_cell_angle_alpha 90.00
_cell_angle_beta 90.00
_cell_angle_gamma 90.00
_space_group_name_H-M_alt 'C m m m'
_space_group_IT_number 65
_space_group_name_Hall '-C 2 2'
loop_
_atom_site_label
_atom_site_fract_x
_atom_site_fract_y
_atom_site_fract_z
Ac1 0.000 0.102 0.000
Ac2 0.000 0.306 0.500
Sm1 0.000 0.500 0.500
```

Main lines, in order of rising 2θ (5 to 70 degrees two-theta):
- 28.04°, intensity 84, (1 1 1)
- 28.18°, intensity 100, (1 5 0)
- 29.98°, intensity 44, (2 0 0)
- 30.11°, intensity 28, (0 4 1)
- 31.20°, intensity 22, (1 3 1)
- 37.16°, intensity 24, (0 6 1)
- 43.01°, intensity 22, (2 4 1)
- 48.46°, intensity 23, (2 6 1)
- 52.09°, intensity 35, (3 5 0)
- 55.99°, intensity 31, (1 5 2)

[3]
Structure and computed PXRD pattern of Pr5Nd3Tm2 (a GGA-PBE-relaxed structure; a wavelength of 1.5418 Å).
Kinematic intensities with the Lorentz-polarization factor, no thermal factor.

Structure:
```
data_Pr5Nd3Tm2
_chemical_formula_sum 'Pr20 Nd12 Tm8'
_cell_length_a 10.929
_cell_length_b 15.015
_cell_length_c 10.159
_cell_angle_alpha 90.00
_cell_angle_beta 122.53
_cell_angle_gamma 90.00
_space_group_name_H-M_alt 'C 1 2/c 1'
_space_group_IT_number 15
loop_
_space_group_symop_operation_xyz
'x,y,z'
'-x,-y,-z'
'-x,y,-z+1/2'
'x,-y,z+1/2'
'x+1/2,y+1/2,z'
'-x+1/2,-y+1/2,-z'
'-x+1/2,y+1/2,-z+1/2'
'x+1/2,-y+1/2,z+1/2'
loop_
_atom_site_label
_atom_site_fract_x
_atom_site_fract_y
_atom_site_fract_z
Pr1 0.000 0.020 0.250
Pr2 0.000 0.228 0.250
Pr3 0.000 0.478 0.750
Pr4 0.247 0.126 0.749
Nd1 0.000 0.270 0.750
Nd2 0.153 0.375 0.557
Tm1 0.154 0.126 0.057
```

Main lines, in order of rising 2θ (5 to 70 degrees two-theta):
- 29.04°, intensity 96, (2 2 -3)
- 30.72°, intensity 100, (2 4 0)
- 31.70°, intensity 21, (0 4 2)
- 32.78°, intensity 47, (4 0 -2)
- 33.58°, intensity 19, (0 2 3)
- 35.48°, intensity 24, (2 0 2)
- 48.37°, intensity 22, (0 6 3)
- 59.66°, intensity 24, (4 6 1)
- 61.92°, intensity 26, (2 4 4)
- 68.40°, intensity 17, (2 10 -3)

[4]
Structure and computed PXRD pattern of Pb2C2S (a GGA-PBE-relaxed structure; a wavelength of 1.5418 Å).
Kinematic intensities with the Lorentz-polarization factor, no thermal factor.

Structure:
```
data_Pb2C2S
_chemical_formula_sum 'Pb4 C4 S2'
_cell_length_a 4.980
_cell_length_b 4.980
_cell_length_c 7.991
_cell_angle_alpha 90.00
_cell_angle_beta 90.00
_cell_angle_gamma 90.00
_space_group_name_H-M_alt 'I 4/m m m'
_space_group_IT_number 139
_space_group_name_Hall '-I 4 2'
loop_
_atom_site_label
_atom_site_fract_x
_atom_site_fract_y
_atom_site_fract_z
Pb1 0.000 0.500 0.250
C1 0.000 0.000 0.079
S1 0.000 0.000 0.500
```

Main lines, in order of rising 2θ (5 to 70 degrees two-theta):
- 22.25°, intensity 44, (0 0 2)
- 25.29°, intensity 62, (1 1 0)
- 33.93°, intensity 100, (1 1 2)
- 36.07°, intensity 44, (2 0 0)
- 42.79°, intensity 35, (2 0 2)
- 51.94°, intensity 16, (2 2 0)
- 52.68°, intensity 21, (1 1 4)
- 57.17°, intensity 15, (2 2 2)
- 59.31°, intensity 19, (2 0 4)
- 63.50°, intensity 33, (3 1 2)

[5]
Structure and computed PXRD pattern of Li2Ca6Ag (a GGA-PBE-relaxed structure; a wavelength of 1.5418 Å).
Kinematic intensities with the Lorentz-polarization factor, no thermal factor.

Structure:
```
data_Li2Ca6Ag
_chemical_formula_sum 'Li8 Ca24 Ag4'
_cell_length_a 5.420
_cell_length_b 13.484
_cell_length_c 16.312
_cell_angle_alpha 90.00
_cell_angle_beta 90.00
_cell_angle_gamma 90.00
_space_group_name_H-M_alt 'F m m m'
_space_group_IT_number 69
_space_group_name_Hall '-F 2 2'
loop_
_atom_site_label
_atom_site_fract_x
_atom_site_fract_y
_atom_site_fract_z
Li1 0.000 0.000 0.173
Ca1 0.000 0.138 0.000
Ca2 0.000 0.146 0.339
Ag1 0.000 0.000 0.500
```

Main lines, in order of rising 2θ (5 to 70 degrees two-theta):
- 10.85°, intensity 30, (0 0 2)
- 17.06°, intensity 21, (0 2 2)
- 18.46°, intensity 32, (1 1 1)
- 30.63°, intensity 100, (1 3 3)
- 32.95°, intensity 23, (0 0 6)
- 33.05°, intensity 23, (2 0 0)
- 47.36°, intensity 15, (2 0 6)
- 52.89°, intensity 13, (2 6 0)
- 57.39°, intensity 14, (1 3 9)
- 57.53°, intensity 15, (3 3 3)

[6]
Structure and computed PXRD pattern of Fe15Co (a GGA-PBE-relaxed structure; a wavelength of 1.5418 Å).
Kinematic intensities with the Lorentz-polarization factor, no thermal factor.

Structure:
```
data_Fe15Co
_chemical_formula_sum 'Fe15 Co1'
_cell_length_a 5.680
_cell_length_b 5.680
_cell_length_c 5.680
_cell_angle_alpha 90.00
_cell_angle_beta 90.00
_cell_angle_gamma 90.00
_space_group_name_H-M_alt 'P m -3 m'
_space_group_IT_number 221
_space_group_name_Hall '-P 4 2 3'
loop_
_atom_site_label
_atom_site_fract_x
_atom_site_fract_y
_atom_site_fract_z
Fe1 0.000 0.000 0.000
Fe2 0.000 0.000 0.500
Fe3 0.000 0.500 0.500
Fe4 0.251 0.251 0.251
Co1 0.500 0.500 0.500
```

Main lines, in order of rising 2θ (5 to 70 degrees two-theta):
- 45.15°, intensity 100, (2 2 0)
- 65.76°, intensity 15, (4 0 0)

> Number 5 is which compound?

Li2Ca6Ag

> What is the formula in the sixth record?

Fe15Co

> Number 5 is which compound?

Li2Ca6Ag